Starting from a crystal structure in Alexandria, relaxed with GGA+U, the PXRD pattern of ZnCoCuF6 was simulated for Cu Kα X-rays.
Kinematic intensities with the Lorentz-polarization factor, no thermal factor.

Structure:
```
data_ZnCoCuF6
_symmetry_space_group_name_H-M 'P -3 1 c'
_symmetry_Int_Tables_number 163
_symmetry_space_group_name_Hall '-P 3 2c'
_cell_length_a 5.2326
_cell_length_b 5.2326
_cell_length_c 8.9278
_cell_angle_alpha 90.00
_cell_angle_beta 90.00
_cell_angle_gamma 120.00
loop_
_atom_site_label
_atom_site_fract_x
_atom_site_fract_y
_atom_site_fract_z
Zn1 0.3333 0.6667 0.2500
Co1 0.3333 0.6667 0.7500
Cu1 0.0000 0.0000 0.0000
F1 0.0015 0.3350 0.6283
```

Principal peaks in the range 10° ≤ 2θ ≤ 90°, sorted by position:
| h k l | Position (°2θ) | Rel. int. |
| --- | --- | --- |
| 1 0 2 | 28.06 | 100 |
| 1 1 0 | 34.27 | 33 |
| 1 1 2 | 39.94 | 28 |
| 2 0 2 | 44.86 | 27 |
| 1 1 4 | 54.00 | 53 |
| 3 0 0 | 61.38 | 25 |